Entry 1:
Starting from DFT lattice parameters and positions (GGA-PBE), the powder XRD pattern of TmCd3Pd4 was computed for Cu Kα (weighted mean of Kα1 and Kα2).

Peak list (10 most intense, 2θ = 10–80°, low angle first)
2theta, Rel. int., hkl
18.82, 1, 2 0 0
23.25, 1, 0 1 1
26.73, 1, 2 0 1
30.08, 1, 2 1 1
38.16, 52, 4 0 0
38.55, 100, 2 2 1
55.08, 17, 4 0 2
56.24, 8, 0 4 0
69.23, 34, 6 2 1
70.01, 16, 4 4 0

Structural model:
```
data_TmCd3Pd4
_cell_length_a 9.4319
_cell_length_b 6.5421
_cell_length_c 4.7167
_cell_angle_alpha 90.00
_cell_angle_beta 90.00
_cell_angle_gamma 90.00
_space_group_name_H-M_alt 'P m m a'
_space_group_IT_number 51
_space_group_name_Hall '-P 2a 2a'
loop_
_atom_site_label
_atom_site_type_symbol
_atom_site_fract_x
_atom_site_fract_y
_atom_site_fract_z
Tm1 Tm 0.0000 0.0000 0.0000
Cd1 Cd 0.0000 0.5000 0.0000
Cd2 Cd 0.2500 0.0000 0.4974
Cd3 Cd 0.2500 0.5000 0.4966
Pd1 Pd 0.0000 0.2552 0.5000
Pd2 Pd 0.2500 0.2551 0.9964
```

Entry 2:
Starting from DFT lattice parameters and positions (GGA-PBE), the powder XRD pattern of Mg2SiGe2Pd5 was computed for Cu Kα (weighted mean of Kα1 and Kα2).

Peak list (10 most intense, 2θ = 10–80°, low angle first)
2theta, Rel. int., hkl
17.34, 24, 2 0 0
19.40, 33, 2 1 0
28.66, 23, 0 0 1
37.29, 79, 3 3 0
38.13, 29, 2 2 1
40.19, 100, 3 1 1
45.91, 54, 4 0 1
53.76, 21, 6 0 0
72.22, 22, 3 3 2
77.36, 28, 7 3 1

Structural model:
```
data_Mg2SiGe2Pd5
_cell_length_a 10.2306
_cell_length_b 10.2306
_cell_length_c 3.1144
_cell_angle_alpha 90.00
_cell_angle_beta 90.00
_cell_angle_gamma 90.00
_space_group_name_H-M_alt 'P 4/m b m'
_space_group_IT_number 127
_space_group_name_Hall '-P 4 2ab'
loop_
_atom_site_label
_atom_site_type_symbol
_atom_site_fract_x
_atom_site_fract_y
_atom_site_fract_z
Mg1 Mg 0.1674 0.3326 0.0000
Si1 Si 0.0000 0.0000 0.0000
Ge1 Ge 0.1416 0.6416 0.0000
Pd1 Pd 0.0000 0.5000 0.5000
Pd2 Pd 0.0243 0.8050 0.5000
```